Diffraction record for Li2VO3. The powder X-ray diffraction pattern is simulated, not measured: it uses a structure optimized by DFT (PBE+U) and Cu Kα (weighted mean of Kα1 and Kα2).

Structural model:
```
Li2VO3
1.0
5.002 0.000 0.000
-2.489 4.474 0.000
-1.010 -1.513 4.838
Li V O
4 2 6
Direct
0.000 0.000 0.000 Li
0.161 0.839 0.497 Li
0.323 0.681 0.993 Li
0.661 0.340 0.997 Li
0.498 0.517 0.495 V
0.823 0.161 0.499 V
0.094 0.410 0.272 O
0.227 0.268 0.722 O
0.447 0.117 0.267 O
0.591 0.916 0.725 O
0.730 0.762 0.269 O
0.874 0.562 0.726 O
```

Largest 10 diffraction maxima, by intensity, 10 to 90 degrees two-theta:
2θ (°)	I/Imax	(hkl)
18.34	100	0 0 1
42.73	41	1 1 -2
42.96	41	-1 2 1
44.75	35	2 -1 1
20.37	23	1 -1 0
21.44	19	1 0 0
23.42	14	1 0 -1
20.80	14	0 1 0
35.54	13	1 -2 0
35.42	13	1 1 -1